Starting from a structure optimized by DFT (PBE), the PXRD pattern of UTe6Au2 was simulated for Cu Kα, 1.54184 Å.
Peak positions follow from Bragg's law for the DFT cell and can differ from measured ones.

```
data_UTe6Au2
_cell_length_a 12.756
_cell_length_b 12.791
_cell_length_c 7.519
_cell_angle_alpha 90.00
_cell_angle_beta 97.70
_cell_angle_gamma 90.00
_space_group_name_H-M_alt 'C 1 2/c 1'
_space_group_IT_number 15
_space_group_name_Hall '-C 2yc'
loop_
_atom_site_label
_atom_site_fract_x
_atom_site_fract_y
_atom_site_fract_z
U1 0.000 0.093 0.250
Te1 0.082 0.437 0.603
Te2 0.112 0.088 0.619
Te3 0.200 0.189 0.189
Au1 0.158 0.386 0.269
```

Peak list (10 most intense, 10° ≤ 2θ ≤ 80°, low angle first)
(hkl)  Position (°2θ)  I (rel.)
1 1 -1  14.70  64
2 2 0  19.75  53
0 0 2  23.89  81
1 3 -1  24.61  49
2 0 -2  26.09  45
3 1 1  26.59  57
0 4 0  27.90  51
4 2 -1  32.43  61
5 1 -1  36.64  46
1 3 -3  41.88  100